[1]
Starting from a crystal structure in Alexandria, relaxed with PBE, the X-ray powder pattern of Cd9Hg2Au was simulated for a wavelength of 1.5418 Å.
No peak broadening, texture or thermal motion is included.

Crystal structure
```
data_Cd9Hg2Au
_chemical_formula_sum 'Cd9 Hg2 Au1'
_space_group_name_H-M_alt 'P 1'
_space_group_IT_number 1
_space_group_name_Hall 'P 1'
_cell_length_a 6.495
_cell_length_b 7.175
_cell_length_c 7.648
_cell_angle_alpha 66.13
_cell_angle_beta 65.39
_cell_angle_gamma 70.98
loop_
_atom_site_label
_atom_site_fract_x
_atom_site_fract_y
_atom_site_fract_z
Cd1 0.000 0.000 0.000
Cd2 0.034 0.782 0.643
Cd3 0.170 0.612 0.293
Cd4 0.307 0.148 0.582
Cd5 0.389 0.683 0.843
Cd6 0.611 0.317 0.157
Cd7 0.693 0.852 0.418
Cd8 0.830 0.388 0.707
Cd9 0.966 0.218 0.357
Hg1 0.338 0.230 0.951
Hg2 0.662 0.770 0.049
Au1 0.500 0.500 0.500
```

Peak list (12 most intense, 2θ from 10° to 90°, by angle)
2θ (°)  I_rel
22.5  31
29.3  34
33.4  100
36.0  79
36.7  31
37.7  86
38.4  25
38.7  83
39.8  35
42.0  24
42.4  27
64.3  23



[2]
Starting from a crystal structure in Alexandria, relaxed with PBE, the X-ray powder pattern of Cd3HgAu4 was simulated for a wavelength of 1.5418 Å.
No peak broadening, texture or thermal motion is included.

Crystal structure
```
data_Cd3HgAu4
_chemical_formula_sum 'Cd3 Hg1 Au4'
_space_group_name_H-M_alt 'P 1'
_space_group_IT_number 1
_space_group_name_Hall 'P 1'
_cell_length_a 8.584
_cell_length_b 8.576
_cell_length_c 4.428
_cell_angle_alpha 75.14
_cell_angle_beta 74.95
_cell_angle_gamma 29.91
loop_
_atom_site_label
_atom_site_fract_x
_atom_site_fract_y
_atom_site_fract_z
Cd1 0.000 0.000 0.000
Cd2 0.250 0.250 0.750
Cd3 0.750 0.750 0.250
Hg1 0.500 0.500 0.500
Au1 0.127 0.127 0.373
Au2 0.373 0.373 0.127
Au3 0.627 0.627 0.873
Au4 0.873 0.873 0.627
```

Peak list (12 most intense, 2θ from 10° to 90°, by angle)
2θ (°)  I_rel
36.4  100
36.5  99
40.8  73
45.4  27
58.8  12
59.2  12
62.6  41
71.2  28
71.5  28
77.3  11
77.7  11
78.0  22